For Rb2ErScS4, a structure optimized by DFT (GGA-PBE) gives the theoretical X-ray powder pattern in this record (Cu Kα (λ = 1.5418 Å)).
No peak broadening, texture or thermal motion is included.

Atomic structure:
```
data_Rb2ErScS4
_chemical_formula_sum 'Rb2 Er1 Sc1 S4'
_cell_length_a 3.9531
_cell_length_b 3.9531
_cell_length_c 15.2693
_cell_angle_alpha 90.00
_cell_angle_beta 90.00
_cell_angle_gamma 120.00
_symmetry_space_group_name_H-M 'P -3 m 1'
_symmetry_Int_Tables_number 164
_symmetry_space_group_name_Hall '-P 3 2"'
loop_
_atom_site_label
_atom_site_fract_x
_atom_site_fract_y
_atom_site_fract_z
_atom_site_occupancy
Rb1 0.3333 0.6667 0.2462 1
Er1 0.0000 0.0000 0.5000 1
Sc1 0.0000 0.0000 0.0000 1
S1 0.3333 0.6667 0.5978 1
S2 0.3333 0.6667 0.9106 1
```

Principal peaks in the range 2θ = 15–90°, in order of rising 2θ:
two_theta  I (rel.)  (hkl)
23.30  30.8  0 0 4
26.69  35.6  1 0 1
28.58  100.0  0 1 2
31.49  88.5  0 1 3
35.22  23.8  1 0 4
39.54  19.1  1 0 5
44.35  50.7  0 1 6
45.91  47.4  1 1 0
52.11  21.8  1 1 4
54.98  15.9  2 0 2